[1]
Computed X-ray powder pattern of Al2CdAgTe4 for a wavelength of 1.5418 Å, from a crystal structure in Alexandria, relaxed with PBE.
Lines closer than 0.1° are merged.

Atomic structure:
Cell lengths 7.8622, 7.5960, 6.5273 Å; angles 67.16, 62.92, 49.92 degrees
Fractional positions:
Al: 0.0000 0.0000 0.5000
Al: 0.5000 0.5000 0.0000
Cd: 0.2426 0.2426 0.7574
Ag: 0.7469 0.7469 0.2531
Te: 0.1151 0.6192 0.3808
Te: 0.3541 0.8445 0.6459
Te: 0.6192 0.1151 0.8849
Te: 0.8445 0.3541 0.1555

The 10 most intense peaks (5 to 70 degrees two-theta), by angle:
2θ = 23.3°, 3.812 Å, intensity 89
2θ = 24.9°, 3.581 Å, intensity 100
2θ = 31.1°, 2.878 Å, intensity 16
2θ = 37.2°, 2.417 Å, intensity 28
2θ = 40.2°, 2.243 Å, intensity 86
2θ = 41.2°, 2.193 Å, intensity 21
2θ = 45.3°, 2.003 Å, intensity 39
2θ = 47.9°, 1.901 Å, intensity 44
2θ = 56.7°, 1.624 Å, intensity 16
2θ = 69.1°, 1.359 Å, intensity 17

[2]
Computed X-ray powder pattern of AlZnCdAg3 for a wavelength of 1.5418 Å, from a crystal structure in Alexandria, relaxed with PBE.
Lines closer than 0.1° are merged.

Atomic structure:
Cell lengths 7.5640, 7.5640, 9.4814 Å; angles 90.00, 90.00, 157.08 degrees
Fractional positions:
Al: 0.0000 0.0000 0.0000
Al: 0.0000 0.0000 0.5000
Zn: 0.4481 0.5519 0.7500
Zn: 0.5519 0.4481 0.2500
Cd: 0.2258 0.7742 0.2500
Cd: 0.7742 0.2258 0.7500
Ag: 0.1012 0.8988 0.7500
Ag: 0.3413 0.6587 0.5040
Ag: 0.3413 0.6587 0.9960
Ag: 0.6587 0.3413 0.0040
Ag: 0.6587 0.3413 0.4960
Ag: 0.8988 0.1012 0.2500

The 10 most intense peaks (5 to 70 degrees two-theta), by angle:
2θ = 11.9°, 7.413 Å, intensity 22
2θ = 36.2°, 2.479 Å, intensity 66
2θ = 37.6°, 2.391 Å, intensity 21
2θ = 38.0°, 2.370 Å, intensity 60
2θ = 39.9°, 2.258 Å, intensity 100
2θ = 41.2°, 2.191 Å, intensity 57
2θ = 45.5°, 1.993 Å, intensity 35
2θ = 61.7°, 1.503 Å, intensity 18
2θ = 64.5°, 1.445 Å, intensity 20
2θ = 69.9°, 1.346 Å, intensity 17

[3]
Computed X-ray powder pattern of CeAl3Ag10 for a wavelength of 1.5418 Å, from a crystal structure in Alexandria, relaxed with PBE.
Lines closer than 0.1° are merged.

Atomic structure:
Cell lengths 9.2824, 9.2824, 9.2824 Å; angles 60.00, 60.00, 60.00 degrees
Fractional positions:
Ce: 0.2500 0.2500 0.2500
Ce: 0.7500 0.7500 0.7500
Al: 0.2384 0.2384 0.7616
Al: 0.2384 0.7616 0.2384
Al: 0.2384 0.7616 0.7616
Al: 0.7616 0.2384 0.2384
Al: 0.7616 0.2384 0.7616
Al: 0.7616 0.7616 0.2384
Ag: 0.1146 0.1146 0.1146
Ag: 0.1146 0.1146 0.6563
Ag: 0.1146 0.6563 0.1146
Ag: 0.1535 0.5000 0.5000
Ag: 0.1535 0.5000 0.8465
Ag: 0.1535 0.8465 0.5000
Ag: 0.3437 0.8854 0.8854
Ag: 0.5000 0.1535 0.5000
Ag: 0.5000 0.1535 0.8465
Ag: 0.5000 0.5000 0.1535
Ag: 0.5000 0.5000 0.8465
Ag: 0.5000 0.8465 0.1535
Ag: 0.5000 0.8465 0.5000
Ag: 0.6563 0.1146 0.1146
Ag: 0.8465 0.1535 0.5000
Ag: 0.8465 0.5000 0.1535
Ag: 0.8465 0.5000 0.5000
Ag: 0.8854 0.3437 0.8854
Ag: 0.8854 0.8854 0.3437
Ag: 0.8854 0.8854 0.8854

The 10 most intense peaks (5 to 70 degrees two-theta), by angle:
2θ = 30.5°, 2.935 Å, intensity 47
2θ = 33.4°, 2.680 Å, intensity 24
2θ = 35.5°, 2.526 Å, intensity 100
2θ = 38.8°, 2.321 Å, intensity 28
2θ = 40.7°, 2.219 Å, intensity 49
2θ = 45.9°, 1.979 Å, intensity 21
2θ = 57.9°, 1.592 Å, intensity 15
2θ = 59.8°, 1.547 Å, intensity 29
2θ = 61.1°, 1.516 Å, intensity 12
2θ = 64.7°, 1.441 Å, intensity 13

[4]
Computed X-ray powder pattern of Ce2AlAg5 for a wavelength of 1.5418 Å, from a crystal structure in Alexandria, relaxed with PBE.
Lines closer than 0.1° are merged.

Atomic structure:
Cell lengths 8.6686, 8.6686, 9.7038 Å; angles 90.00, 90.00, 149.98 degrees
Fractional positions:
Ce: 0.0000 0.0000 0.0000
Ce: 0.0000 0.0000 0.5000
Ce: 0.1958 0.8042 0.7500
Ce: 0.8042 0.1958 0.2500
Al: 0.4510 0.5490 0.2500
Al: 0.5490 0.4510 0.7500
Ag: 0.1920 0.8080 0.1059
Ag: 0.1920 0.8080 0.3941
Ag: 0.3602 0.6398 0.0342
Ag: 0.3602 0.6398 0.4658
Ag: 0.3966 0.6034 0.7500
Ag: 0.6034 0.3966 0.2500
Ag: 0.6398 0.3602 0.5342
Ag: 0.6398 0.3602 0.9658
Ag: 0.8080 0.1920 0.6059
Ag: 0.8080 0.1920 0.8941

The 10 most intense peaks (5 to 70 degrees two-theta), by angle:
2θ = 10.6°, 8.373 Å, intensity 25
2θ = 31.5°, 2.838 Å, intensity 66
2θ = 32.1°, 2.791 Å, intensity 16
2θ = 33.4°, 2.684 Å, intensity 100
2θ = 34.6°, 2.593 Å, intensity 93
2θ = 35.1°, 2.560 Å, intensity 20
2θ = 40.2°, 2.245 Å, intensity 48
2θ = 42.8°, 2.113 Å, intensity 30
2θ = 45.5°, 1.994 Å, intensity 22
2θ = 60.1°, 1.539 Å, intensity 19